Starting from a DFT-relaxed cell (PBE, OQMD), the powder X-ray diffraction pattern of Pa2S4Br was computed for Cu Kα (λ = 1.5418 Å).
Peak positions follow from Bragg's law for the DFT cell and can differ from measured ones.

```
data_Pa2S4Br
_symmetry_space_group_name_H-M 'I m a 2'
_symmetry_Int_Tables_number 46
_symmetry_space_group_name_Hall 'I 2 -2a'
_cell_length_a 7.8940
_cell_length_b 13.3338
_cell_length_c 6.9383
_cell_angle_alpha 90.00
_cell_angle_beta 90.00
_cell_angle_gamma 90.00
loop_
_atom_site_label
_atom_site_fract_x
_atom_site_fract_y
_atom_site_fract_z
Pa1 0.0000 0.0000 0.0000
Pa2 0.2500 0.1963 0.4121
S1 0.0239 0.1988 0.1299
S2 0.2500 0.0013 0.2723
S3 0.2500 0.1067 0.7729
Br1 0.2500 0.6238 0.2935
```

Principal peaks in the range 10 to 90 degrees two-theta, sorted by position:
13.0°, I 96.2, (1 1 0); 14.4°, I 83.1, (0 1 1); 21.6°, I 58.9, (1 2 1); 23.8°, I 75.3, (0 3 1); 26.2°, I 51.1, (2 2 0); 26.8°, I 100.0, (2 1 1); 37.0°, I 72.6, (2 2 2); 43.0°, I 87.3, (2 5 1)

Starting from a DFT-relaxed cell (PBE, OQMD), the powder X-ray diffraction pattern of Rb2PdPbBr6 was computed for Cu Kα (λ = 1.5418 Å).
Peak positions follow from Bragg's law for the DFT cell and can differ from measured ones.

```
data_Rb2PdPbBr6
_symmetry_space_group_name_H-M 'F m -3 m'
_symmetry_Int_Tables_number 225
_symmetry_space_group_name_Hall '-F 4 2 3'
_cell_length_a 11.1516
_cell_length_b 11.1516
_cell_length_c 11.1516
_cell_angle_alpha 90.00
_cell_angle_beta 90.00
_cell_angle_gamma 90.00
loop_
_atom_site_label
_atom_site_fract_x
_atom_site_fract_y
_atom_site_fract_z
Rb1 0.2500 0.2500 0.2500
Pd1 0.0000 0.0000 0.0000
Pb1 0.0000 0.0000 0.5000
Br1 0.0000 0.0000 0.2374
```

Principal peaks in the range 10 to 90 degrees two-theta, sorted by position:
15.9°, I 54.0, (2 0 0); 22.6°, I 54.1, (2 2 0); 27.7°, I 25.7, (2 2 2); 32.1°, I 100.0, (4 0 0); 36.0°, I 27.7, (4 2 0); 39.6°, I 24.4, (4 2 2); 46.0°, I 71.0, (4 4 0); 76.4°, I 30.3, (8 4 0)

Starting from a DFT-relaxed cell (PBE, OQMD), the powder X-ray diffraction pattern of SmPb2Br6 was computed for Cu Kα (λ = 1.5418 Å).
Peak positions follow from Bragg's law for the DFT cell and can differ from measured ones.

```
data_SmPb2Br6
_symmetry_space_group_name_H-M 'R -3 m'
_symmetry_Int_Tables_number 166
_symmetry_space_group_name_Hall '-R 3 2"'
_cell_length_a 4.3081
_cell_length_b 4.3081
_cell_length_c 61.0038
_cell_angle_alpha 90.00
_cell_angle_beta 90.00
_cell_angle_gamma 120.00
loop_
_atom_site_label
_atom_site_fract_x
_atom_site_fract_y
_atom_site_fract_z
Sm1 0.0000 0.0000 0.0000
Pb1 0.0000 0.0000 0.4446
Br1 0.0000 0.0000 0.0821
Br2 0.0000 0.0000 0.1934
Br3 0.0000 0.0000 0.3060
```

Principal peaks in the range 10 to 90 degrees two-theta, sorted by position:
13.1°, I 100.0, (0 0 9); 26.6°, I 82.8, (0 1 8); 28.8°, I 60.4, (0 1 11); 33.6°, I 48.7, (1 0 16); 38.1°, I 27.9, (0 1 20); 41.9°, I 66.5, (1 1 0); 44.1°, I 31.2, (1 1 9); 70.7°, I 28.4, (1 1 36)

Starting from a DFT-relaxed cell (PBE, OQMD), the powder X-ray diffraction pattern of PdBr2 was computed for Cu Kα (λ = 1.5418 Å).
Peak positions follow from Bragg's law for the DFT cell and can differ from measured ones.

```
data_PdBr2
_symmetry_space_group_name_H-M 'R -3'
_symmetry_Int_Tables_number 148
_symmetry_space_group_name_Hall '-R 3'
_cell_length_a 14.0787
_cell_length_b 14.0787
_cell_length_c 9.0677
_cell_angle_alpha 90.00
_cell_angle_beta 90.00
_cell_angle_gamma 120.00
loop_
_atom_site_label
_atom_site_fract_x
_atom_site_fract_y
_atom_site_fract_z
Pd1 0.0471 0.1619 0.3428
Br1 0.0476 0.1620 0.8135
Br2 0.0565 0.5984 0.1679
```

Principal peaks in the range 10 to 90 degrees two-theta, sorted by position:
12.2°, I 40.8, (1 0 1); 12.6°, I 23.6, (1 1 0); 20.9°, I 13.9, (0 1 2); 21.9°, I 14.8, (3 0 0); 33.0°, I 100.0, (3 1 2); 46.5°, I 32.9, (2 5 0); 48.3°, I 30.9, (4 -3 4); 58.2°, I 12.2, (8 -6 2)

Starting from a DFT-relaxed cell (PBE, OQMD), the powder X-ray diffraction pattern of PdBr2 was computed for Cu Kα (λ = 1.5418 Å).
Peak positions follow from Bragg's law for the DFT cell and can differ from measured ones.

```
data_PdBr2
_symmetry_space_group_name_H-M 'P m n 21'
_symmetry_Int_Tables_number 31
_symmetry_space_group_name_Hall 'P 2ac -2'
_cell_length_a 3.5877
_cell_length_b 6.9067
_cell_length_c 13.2453
_cell_angle_alpha 90.00
_cell_angle_beta 90.00
_cell_angle_gamma 90.00
loop_
_atom_site_label
_atom_site_fract_x
_atom_site_fract_y
_atom_site_fract_z
Pd1 0.0000 0.0568 0.0000
Pd2 0.0000 0.4400 0.5009
Br1 0.0000 0.5528 0.8732
Br2 0.0000 0.5697 0.1286
Br3 0.0000 0.9310 0.6276
Br4 0.0000 0.9478 0.3723
```

Principal peaks in the range 10 to 90 degrees two-theta, sorted by position:
13.4°, I 59.8, (0 0 2); 25.8°, I 47.4, (0 2 0); 26.7°, I 50.8, (0 2 1); 34.7°, I 100.0, (1 1 3); 39.3°, I 15.5, (1 1 4); 44.5°, I 42.8, (1 1 5); 53.5°, I 14.8, (0 4 1); 54.9°, I 34.4, (1 3 4)

Starting from a DFT-relaxed cell (PBE, OQMD), the powder X-ray diffraction pattern of Rb3PdBr6 was computed for Cu Kα (λ = 1.5418 Å).
Peak positions follow from Bragg's law for the DFT cell and can differ from measured ones.

```
data_Rb3PdBr6
_symmetry_space_group_name_H-M 'R -3 m'
_symmetry_Int_Tables_number 166
_symmetry_space_group_name_Hall '-R 3 2"'
_cell_length_a 7.5685
_cell_length_b 7.5685
_cell_length_c 24.2523
_cell_angle_alpha 90.00
_cell_angle_beta 90.00
_cell_angle_gamma 120.00
loop_
_atom_site_label
_atom_site_fract_x
_atom_site_fract_y
_atom_site_fract_z
Rb1 0.0000 0.0000 0.0000
Rb2 0.0000 0.0000 0.2145
Pd1 0.0000 0.0000 0.5000
Br1 0.0125 0.5063 0.2287
```

Principal peaks in the range 10 to 90 degrees two-theta, sorted by position:
10.9°, I 77.4, (0 0 3); 15.4°, I 44.7, (0 1 2); 28.2°, I 46.1, (2 0 2); 31.0°, I 100.0, (0 2 4); 32.4°, I 24.3, (1 1 6); 33.0°, I 30.9, (2 0 5); 37.8°, I 38.3, (0 2 7); 48.1°, I 39.4, (2 2 0)

Starting from a DFT-relaxed cell (PBE, OQMD), the powder X-ray diffraction pattern of RbTlPdBr4 was computed for Cu Kα (λ = 1.5418 Å).
Peak positions follow from Bragg's law for the DFT cell and can differ from measured ones.

```
data_RbTlPdBr4
_symmetry_space_group_name_H-M 'P m m m'
_symmetry_Int_Tables_number 47
_symmetry_space_group_name_Hall '-P 2 2'
_cell_length_a 4.4451
_cell_length_b 7.5090
_cell_length_c 7.6041
_cell_angle_alpha 90.00
_cell_angle_beta 90.00
_cell_angle_gamma 90.00
loop_
_atom_site_label
_atom_site_fract_x
_atom_site_fract_y
_atom_site_fract_z
Rb1 0.0000 0.0000 0.0000
Tl1 0.0000 0.5000 0.5000
Pd1 0.5000 0.0000 0.5000
Br1 0.5000 0.2348 0.2714
```

Principal peaks in the range 10 to 90 degrees two-theta, sorted by position:
11.6°, I 69.7, (0 0 1); 23.3°, I 27.2, (1 1 0); 26.1°, I 100.0, (1 1 1); 31.0°, I 49.6, (1 0 2); 31.2°, I 49.8, (1 2 0); 33.5°, I 81.5, (0 2 2); 43.1°, I 33.7, (1 3 1); 53.6°, I 42.1, (2 2 2)

Starting from a DFT-relaxed cell (PBE, OQMD), the powder X-ray diffraction pattern of Pm3Br2 was computed for Cu Kα (λ = 1.5418 Å).
Peak positions follow from Bragg's law for the DFT cell and can differ from measured ones.

```
data_Pm3Br2
_symmetry_space_group_name_H-M 'R -3 c'
_symmetry_Int_Tables_number 167
_symmetry_space_group_name_Hall '-R 3 2"c'
_cell_length_a 7.2466
_cell_length_b 7.2466
_cell_length_c 19.8818
_cell_angle_alpha 90.00
_cell_angle_beta 90.00
_cell_angle_gamma 120.00
loop_
_atom_site_label
_atom_site_fract_x
_atom_site_fract_y
_atom_site_fract_z
Pm1 0.0000 0.3432 0.2500
Br1 0.0000 0.0000 0.1663
```

Principal peaks in the range 10 to 90 degrees two-theta, sorted by position:
28.1°, I 100.0, (1 1 3); 36.8°, I 49.7, (1 1 6); 43.2°, I 38.4, (3 0 0); 48.2°, I 22.6, (1 1 9); 52.4°, I 17.4, (2 2 3); 58.0°, I 12.9, (2 2 6); 70.2°, I 14.1, (4 1 3); 72.8°, I 16.3, (3 0 12)

Starting from a DFT-relaxed cell (PBE, OQMD), the powder X-ray diffraction pattern of PrYSbBr2 was computed for Cu Kα (λ = 1.5418 Å).
Peak positions follow from Bragg's law for the DFT cell and can differ from measured ones.

```
data_PrYSbBr2
_symmetry_space_group_name_H-M 'P 3 m 1'
_symmetry_Int_Tables_number 156
_symmetry_space_group_name_Hall 'P 3 -2"'
_cell_length_a 4.3111
_cell_length_b 4.3111
_cell_length_c 11.0031
_cell_angle_alpha 90.00
_cell_angle_beta 90.00
_cell_angle_gamma 120.00
loop_
_atom_site_label
_atom_site_fract_x
_atom_site_fract_y
_atom_site_fract_z
Pr1 0.0000 0.0000 0.0000
Y1 0.6667 0.3333 0.6770
Sb1 0.3333 0.6667 0.8299
Br1 0.0000 0.0000 0.5244
Br2 0.6667 0.3333 0.1638
```

Principal peaks in the range 10 to 90 degrees two-theta, sorted by position:
25.2°, I 12.6, (1 0 1); 28.9°, I 100.0, (1 0 2); 34.3°, I 14.3, (1 0 3); 40.7°, I 37.5, (0 1 4); 41.9°, I 35.5, (1 1 0); 51.7°, I 19.3, (0 2 2); 67.0°, I 15.0, (1 1 6); 68.7°, I 16.3, (2 1 2)

Starting from a DFT-relaxed cell (PBE, OQMD), the powder X-ray diffraction pattern of PrSeBr was computed for Cu Kα (λ = 1.5418 Å).
Peak positions follow from Bragg's law for the DFT cell and can differ from measured ones.

```
data_PrSeBr
_symmetry_space_group_name_H-M 'P 4/m m m'
_symmetry_Int_Tables_number 123
_symmetry_space_group_name_Hall '-P 4 2'
_cell_length_a 4.4570
_cell_length_b 4.4570
_cell_length_c 5.4732
_cell_angle_alpha 90.00
_cell_angle_beta 90.00
_cell_angle_gamma 90.00
loop_
_atom_site_label
_atom_site_fract_x
_atom_site_fract_y
_atom_site_fract_z
Pr1 0.0000 0.0000 0.0000
Se1 0.5000 0.5000 0.5000
Br1 0.0000 0.0000 0.5000
```

Principal peaks in the range 10 to 90 degrees two-theta, sorted by position:
19.9°, I 53.3, (1 0 0); 25.8°, I 53.1, (1 0 1); 28.3°, I 100.0, (1 1 0); 32.7°, I 34.7, (0 0 2); 40.5°, I 37.8, (2 0 0); 43.8°, I 60.4, (1 1 2); 53.0°, I 34.2, (2 0 2); 75.9°, I 23.5, (3 1 2)

Starting from a DFT-relaxed cell (PBE, OQMD), the powder X-ray diffraction pattern of PtBr6 was computed for Cu Kα (λ = 1.5418 Å).
Peak positions follow from Bragg's law for the DFT cell and can differ from measured ones.

```
data_PtBr6
_symmetry_space_group_name_H-M 'P -1'
_symmetry_Int_Tables_number 2
_symmetry_space_group_name_Hall '-P 1'
_cell_length_a 8.0804
_cell_length_b 8.2335
_cell_length_c 8.2465
_cell_angle_alpha 91.65
_cell_angle_beta 99.51
_cell_angle_gamma 112.07
loop_
_atom_site_label
_atom_site_fract_x
_atom_site_fract_y
_atom_site_fract_z
Pt1 0.0604 0.3585 0.1458
Br1 0.0000 0.0000 0.5000
Br2 0.0092 0.7037 0.5814
Br3 0.1164 0.4513 0.8723
Br4 0.2260 0.1640 0.1571
Br5 0.3960 0.2172 0.9130
Br6 0.4214 0.7112 0.3209
Br7 0.5000 0.0000 0.5000
```

Principal peaks in the range 10 to 90 degrees two-theta, sorted by position:
12.0°, I 52.3, (1 0 0); 16.8°, I 34.0, (0 1 1); 17.8°, I 39.9, (1 -1 1); 19.8°, I 50.6, (1 1 0); 24.3°, I 100.0, (1 1 1); 29.6°, I 25.5, (2 0 -2); 34.4°, I 29.1, (2 -3 0); 35.7°, I 27.6, (1 1 -3)

Starting from a DFT-relaxed cell (PBE, OQMD), the powder X-ray diffraction pattern of Rb2ScPtBr6 was computed for Cu Kα (λ = 1.5418 Å).
Peak positions follow from Bragg's law for the DFT cell and can differ from measured ones.

```
data_Rb2ScPtBr6
_symmetry_space_group_name_H-M 'P 4/m m m'
_symmetry_Int_Tables_number 123
_symmetry_space_group_name_Hall '-P 4 2'
_cell_length_a 4.8143
_cell_length_b 4.8143
_cell_length_c 14.8855
_cell_angle_alpha 90.00
_cell_angle_beta 90.00
_cell_angle_gamma 90.00
loop_
_atom_site_label
_atom_site_fract_x
_atom_site_fract_y
_atom_site_fract_z
Rb1 0.0000 0.0000 0.2140
Sc1 0.5000 0.5000 0.5000
Pt1 0.5000 0.5000 0.0000
Br1 0.0000 0.0000 0.0000
Br2 0.0000 0.0000 0.5000
Br3 0.0000 0.5000 0.3688
```

Principal peaks in the range 10 to 90 degrees two-theta, sorted by position:
11.9°, I 24.7, (0 0 2); 22.0°, I 25.8, (1 0 2); 25.8°, I 21.9, (1 0 3); 26.9°, I 51.2, (1 1 1); 28.8°, I 18.7, (1 1 2); 35.7°, I 100.0, (1 1 4); 37.4°, I 51.9, (2 0 0); 66.3°, I 32.6, (3 1 4)